(1)
Structure and theoretical powder diffraction line list of Ag2PbI4 (a DFT-relaxed cell (GGA-PBE, Alexandria); Cu Kα, 1.54184 Å).
Kinematic intensities with the Lorentz-polarization factor, no thermal factor.

Structural model:
Lattice parameters (Å, degrees): 6.6636 6.6636 6.8809 90.00 90.00 90.00
Fractional coordinates of all 7 atoms:
Ag  0.0000  0.5000  0.0000
Ag  0.5000  0.0000  0.0000
Pb  0.0000  0.0000  0.5000
I  0.2720  0.2720  0.7623
I  0.2720  0.7280  0.2377
I  0.7280  0.2720  0.2377
I  0.7280  0.7280  0.7623

Most intense lines, 2θ = 10–90°, by angle:
| two_theta | d_spacing | I/Imax |
| --- | --- | --- |
| 18.54 | 4.787 | 16 |
| 22.87 | 3.888 | 100 |
| 29.21 | 3.057 | 9 |
| 32.75 | 2.735 | 11 |
| 37.58 | 2.393 | 53 |
| 38.20 | 2.356 | 25 |
| 43.90 | 2.062 | 17 |
| 44.99 | 2.015 | 30 |
| 59.58 | 1.552 | 12 |
| 68.64 | 1.367 | 15 |

***

(2)
Structure and theoretical powder diffraction line list of NaSr3Be3B3O9F4 (a DFT-relaxed cell (GGA-PBE, Alexandria); Cu Kα, 1.54184 Å).
Kinematic intensities with the Lorentz-polarization factor, no thermal factor.

Structural model:
Lattice parameters (Å, degrees): 6.7564 6.7564 6.7564 103.76 103.76 103.76
Fractional coordinates of all 23 atoms:
Na  0.0000  0.0000  0.0000
Sr  0.2028  0.2028  0.5953
Sr  0.2028  0.5953  0.2028
Sr  0.5953  0.2028  0.2028
Be  0.5154  0.7899  0.7899
Be  0.7899  0.5154  0.7899
Be  0.7899  0.7899  0.5154
B  0.1184  0.6543  0.6543
B  0.6543  0.1184  0.6543
B  0.6543  0.6543  0.1184
O  0.0313  0.5572  0.7857
O  0.0313  0.7857  0.5572
O  0.3031  0.6174  0.6174
O  0.5572  0.0313  0.7857
O  0.5572  0.7857  0.0313
O  0.6174  0.3031  0.6174
O  0.6174  0.6174  0.3031
O  0.7857  0.0313  0.5572
O  0.7857  0.5572  0.0313
F  0.2636  0.2636  0.9817
F  0.2636  0.9817  0.2636
F  0.7181  0.7181  0.7181
F  0.9817  0.2636  0.2636

Most intense lines, 2θ = 10–90°, by angle:
| two_theta | d_spacing | I/Imax |
| --- | --- | --- |
| 14.21 | 6.234 | 28 |
| 21.97 | 4.045 | 51 |
| 27.71 | 3.219 | 62 |
| 28.64 | 3.117 | 100 |
| 29.10 | 3.069 | 34 |
| 33.32 | 2.689 | 83 |
| 40.62 | 2.221 | 26 |
| 43.55 | 2.078 | 60 |
| 44.19 | 2.049 | 40 |
| 50.74 | 1.799 | 27 |

***

(3)
Structure and theoretical powder diffraction line list of NdY2Ho9 (a DFT-relaxed cell (GGA-PBE, Alexandria); Cu Kα, 1.54184 Å).
Kinematic intensities with the Lorentz-polarization factor, no thermal factor.

Structural model:
Lattice parameters (Å, degrees): 11.2212 11.2212 3.4993 90.00 90.00 120.00
Fractional coordinates of all 12 atoms:
Nd  0.0000  0.0000  0.0000
Y  0.3333  0.6667  0.0000
Y  0.6667  0.3333  0.0000
Ho  0.0000  0.5000  0.0000
Ho  0.1774  0.3548  0.5000
Ho  0.1774  0.8226  0.5000
Ho  0.3548  0.1774  0.5000
Ho  0.5000  0.0000  0.0000
Ho  0.5000  0.5000  0.0000
Ho  0.6452  0.8226  0.5000
Ho  0.8226  0.1774  0.5000
Ho  0.8226  0.6452  0.5000

Most intense lines, 2θ = 10–90°, by angle:
| two_theta | d_spacing | I/Imax |
| --- | --- | --- |
| 30.10 | 2.969 | 18 |
| 31.51 | 2.840 | 71 |
| 31.90 | 2.805 | 100 |
| 35.43 | 2.534 | 17 |
| 37.85 | 2.377 | 10 |
| 45.45 | 1.996 | 25 |
| 56.60 | 1.626 | 25 |
| 56.85 | 1.620 | 17 |
| 62.57 | 1.485 | 29 |
| 80.87 | 1.189 | 12 |

***

(4)
Structure and theoretical powder diffraction line list of Na2YHC2O7 (a DFT-relaxed cell (GGA-PBE, Alexandria); Cu Kα, 1.54184 Å).
Kinematic intensities with the Lorentz-polarization factor, no thermal factor.

Structural model:
Lattice parameters (Å, degrees): 9.4380 9.4380 11.4463 96.21 96.21 38.27
Fractional coordinates of all 52 atoms:
Na  0.0133  0.2095  0.3836
Na  0.1416  0.3252  0.1431
Na  0.2095  0.0133  0.8836
Na  0.3252  0.1416  0.6431
Na  0.6748  0.8584  0.3569
Na  0.7905  0.9867  0.1164
Na  0.8584  0.6748  0.8569
Na  0.9867  0.7905  0.6164
Y  0.2824  0.5963  0.3673
Y  0.4037  0.7176  0.1327
Y  0.5963  0.2824  0.8673
Y  0.7176  0.4037  0.6327
H  0.2501  0.5524  0.1185
H  0.4476  0.7499  0.3815
H  0.5524  0.2501  0.6185
H  0.7499  0.4476  0.8815
C  0.1371  0.7329  0.8826
C  0.2174  0.3686  0.4220
C  0.2671  0.8629  0.6174
C  0.3686  0.2174  0.9220
C  0.6314  0.7826  0.0780
C  0.7329  0.1371  0.3826
C  0.7826  0.6314  0.5780
C  0.8629  0.2671  0.1174
O  0.0700  0.0911  0.0843
O  0.0911  0.0700  0.5843
O  0.1152  0.4880  0.3267
O  0.1914  0.5950  0.7980
O  0.2074  0.2572  0.9361
O  0.2067  0.6693  0.1727
O  0.2572  0.2074  0.4361
O  0.2844  0.4202  0.5027
O  0.3042  0.6811  0.9336
O  0.3189  0.6958  0.5664
O  0.3307  0.7933  0.3273
O  0.4050  0.8086  0.7020
O  0.4202  0.2844  0.0027
O  0.4880  0.1152  0.8267
O  0.5120  0.8848  0.1733
O  0.5798  0.7156  0.9973
O  0.5950  0.1914  0.2980
O  0.6693  0.2067  0.6727
O  0.6811  0.3042  0.4336
O  0.6958  0.3189  0.0664
O  0.7156  0.5798  0.4973
O  0.7428  0.7926  0.5639
O  0.7933  0.3307  0.8273
O  0.7926  0.7428  0.0639
O  0.8086  0.4050  0.2020
O  0.8848  0.5120  0.6733
O  0.9089  0.9300  0.4157
O  0.9300  0.9089  0.9157

Most intense lines, 2θ = 10–90°, by angle:
| two_theta | d_spacing | I/Imax |
| --- | --- | --- |
| 15.17 | 5.841 | 55 |
| 17.33 | 5.118 | 100 |
| 17.54 | 5.055 | 65 |
| 19.49 | 4.554 | 79 |
| 22.84 | 3.894 | 49 |
| 29.93 | 2.985 | 81 |
| 30.26 | 2.953 | 58 |
| 31.47 | 2.843 | 76 |
| 32.53 | 2.752 | 59 |
| 42.41 | 2.132 | 53 |

***

(5)
Structure and theoretical powder diffraction line list of Li2CoAg (a DFT-relaxed cell (GGA-PBE, Alexandria); Cu Kα, 1.54184 Å).
Kinematic intensities with the Lorentz-polarization factor, no thermal factor.

Structural model:
Lattice parameters (Å, degrees): 3.0820 4.3048 8.6385 90.00 90.00 90.00
Fractional coordinates of all 8 atoms:
Li  0.0000  0.0000  0.2324
Li  0.0000  0.0000  0.7676
Li  0.5000  0.5000  0.2324
Li  0.5000  0.5000  0.7676
Co  0.0000  0.5000  0.0000
Co  0.5000  0.0000  0.0000
Ag  0.0000  0.5000  0.5000
Ag  0.5000  0.0000  0.5000

Most intense lines, 2θ = 10–90°, by angle:
| two_theta | d_spacing | I/Imax |
| --- | --- | --- |
| 10.24 | 8.639 | 38 |
| 20.56 | 4.319 | 100 |
| 35.83 | 2.506 | 48 |
| 41.67 | 2.168 | 78 |
| 41.83 | 2.160 | 19 |
| 41.97 | 2.152 | 19 |
| 47.18 | 1.926 | 21 |
| 56.23 | 1.636 | 25 |
| 60.75 | 1.525 | 12 |
| 76.47 | 1.246 | 12 |

***

(6)
Structure and theoretical powder diffraction line list of Dy2Er (a DFT-relaxed cell (GGA-PBE, Alexandria); Cu Kα, 1.54184 Å).
Kinematic intensities with the Lorentz-polarization factor, no thermal factor.

Structural model:
Lattice parameters (Å, degrees): 11.1381 4.9753 7.0449 90.00 108.43 90.00
Fractional coordinates of all 12 atoms:
Dy  0.0003  0.0000  0.2505
Dy  0.9997  0.0000  0.7495
Dy  0.1669  0.5000  0.0836
Dy  0.3331  0.0000  0.9164
Dy  0.5003  0.5000  0.2505
Dy  0.4997  0.5000  0.7495
Dy  0.6669  0.0000  0.0836
Dy  0.8331  0.5000  0.9164
Er  0.1666  0.5000  0.5831
Er  0.3334  0.0000  0.4169
Er  0.6666  0.0000  0.5831
Er  0.8334  0.5000  0.4169

Most intense lines, 2θ = 10–90°, by angle:
| two_theta | d_spacing | I/Imax |
| --- | --- | --- |
| 31.11 | 2.875 | 100 |
| 36.08 | 2.490 | 51 |
| 51.94 | 1.760 | 36 |
| 61.79 | 1.501 | 43 |
| 64.87 | 1.437 | 12 |
| 76.49 | 1.245 | 4 |
| 76.60 | 1.244 | 2 |
| 84.89 | 1.142 | 18 |
| 87.61 | 1.114 | 11 |
| 87.70 | 1.113 | 6 |

***

(7)
Structure and theoretical powder diffraction line list of Er5In4Pt2 (a DFT-relaxed cell (GGA-PBE, Alexandria); Cu Kα, 1.54184 Å).
Kinematic intensities with the Lorentz-polarization factor, no thermal factor.

Structural model:
Lattice parameters (Å, degrees): 8.0552 18.1332 3.6185 90.00 90.00 90.00
Fractional coordinates of all 22 atoms:
Er  0.0000  0.0000  0.0000
Er  0.1152  0.4153  0.0000
Er  0.2439  0.2202  0.0000
Er  0.2561  0.7202  0.0000
Er  0.3848  0.9153  0.0000
Er  0.5000  0.5000  0.0000
Er  0.6152  0.0847  0.0000
Er  0.7439  0.2798  0.0000
Er  0.7561  0.7798  0.0000
Er  0.8848  0.5847  0.0000
In  0.0760  0.8522  0.5000
In  0.2098  0.5667  0.5000
In  0.2902  0.0667  0.5000
In  0.4240  0.3522  0.5000
In  0.5760  0.6478  0.5000
In  0.7098  0.9333  0.5000
In  0.7902  0.4333  0.5000
In  0.9240  0.1478  0.5000
Pt  0.0273  0.3036  0.5000
Pt  0.4727  0.8036  0.5000
Pt  0.5273  0.1964  0.5000
Pt  0.9727  0.6964  0.5000

Most intense lines, 2θ = 10–90°, by angle:
| two_theta | d_spacing | I/Imax |
| --- | --- | --- |
| 18.35 | 4.835 | 14 |
| 31.63 | 2.829 | 18 |
| 33.59 | 2.668 | 57 |
| 34.79 | 2.579 | 100 |
| 36.43 | 2.466 | 28 |
| 36.56 | 2.458 | 29 |
| 36.82 | 2.441 | 39 |
| 37.19 | 2.417 | 16 |
| 50.44 | 1.809 | 20 |
| 63.80 | 1.459 | 11 |

***

(8)
Structure and theoretical powder diffraction line list of CaBi2F8 (a DFT-relaxed cell (GGA-PBE, Alexandria); Cu Kα, 1.54184 Å).
Kinematic intensities with the Lorentz-polarization factor, no thermal factor.

Structural model:
Lattice parameters (Å, degrees): 6.2997 6.2997 4.3791 98.12 98.12 111.21
Fractional coordinates of all 11 atoms:
Ca  0.0000  0.0000  0.0000
Bi  0.3179  0.6821  0.5000
Bi  0.6821  0.3179  0.5000
F  0.0548  0.3214  0.5846
F  0.2296  0.7704  0.0000
F  0.3214  0.0548  0.5846
F  0.3486  0.3486  0.1823
F  0.6514  0.6514  0.8177
F  0.6786  0.9452  0.4154
F  0.7704  0.2296  0.0000
F  0.9452  0.6786  0.4154

Most intense lines, 2θ = 10–90°, by angle:
| two_theta | d_spacing | I/Imax |
| --- | --- | --- |
| 15.43 | 5.744 | 41 |
| 17.06 | 5.198 | 60 |
| 20.95 | 4.240 | 100 |
| 23.34 | 3.812 | 41 |
| 25.86 | 3.446 | 75 |
| 27.14 | 3.286 | 66 |
| 28.84 | 3.096 | 89 |
| 33.87 | 2.647 | 60 |
| 37.86 | 2.377 | 55 |
| 47.49 | 1.915 | 44 |

***

(9)
Structure and theoretical powder diffraction line list of TbTiBi3 (a DFT-relaxed cell (GGA-PBE, Alexandria); Cu Kα, 1.54184 Å).
Kinematic intensities with the Lorentz-polarization factor, no thermal factor.

Structural model:
Lattice parameters (Å, degrees): 13.2318 6.5879 6.3425 90.00 90.00 90.00
Fractional coordinates of all 20 atoms:
Tb  0.1866  0.0087  0.2500
Tb  0.1866  0.4913  0.7500
Tb  0.8134  0.5087  0.2500
Tb  0.8134  0.9913  0.7500
Ti  0.4032  0.7500  0.0000
Ti  0.4032  0.7500  0.5000
Ti  0.5968  0.2500  0.0000
Ti  0.5968  0.2500  0.5000
Bi  0.0029  0.7500  0.0000
Bi  0.0029  0.7500  0.5000
Bi  0.2625  0.5071  0.2500
Bi  0.2625  0.9929  0.7500
Bi  0.4288  0.1072  0.2500
Bi  0.4288  0.3928  0.7500
Bi  0.5712  0.6072  0.2500
Bi  0.5712  0.8928  0.7500
Bi  0.7375  0.0071  0.2500
Bi  0.7375  0.4929  0.7500
Bi  0.9971  0.2500  0.0000
Bi  0.9971  0.2500  0.5000

Most intense lines, 2θ = 10–90°, by angle:
| two_theta | d_spacing | I/Imax |
| --- | --- | --- |
| 28.12 | 3.173 | 100 |
| 28.95 | 3.084 | 38 |
| 30.31 | 2.949 | 98 |
| 31.29 | 2.858 | 76 |
| 33.45 | 2.679 | 86 |
| 33.92 | 2.643 | 55 |
| 34.84 | 2.575 | 33 |
| 39.44 | 2.285 | 85 |
| 65.39 | 1.427 | 35 |
| 67.00 | 1.397 | 30 |

***

(10)
Structure and theoretical powder diffraction line list of Ca4Pa3P8 (a DFT-relaxed cell (GGA-PBE, Alexandria); Cu Kα, 1.54184 Å).
Kinematic intensities with the Lorentz-polarization factor, no thermal factor.

Structural model:
Lattice parameters (Å, degrees): 8.6181 8.6181 8.6181 56.38 56.38 56.38
Fractional coordinates of all 15 atoms:
Ca  0.0000  0.0000  0.0000
Ca  0.1466  0.1466  0.1466
Ca  0.5000  0.5000  0.5000
Ca  0.8534  0.8534  0.8534
Pa  0.0000  0.5000  0.5000
Pa  0.5000  0.0000  0.5000
Pa  0.5000  0.5000  0.0000
P  0.2478  0.2478  0.7219
P  0.2478  0.7219  0.2478
P  0.2719  0.2719  0.2719
P  0.2781  0.7522  0.7522
P  0.7219  0.2478  0.2478
P  0.7281  0.7281  0.7281
P  0.7522  0.2781  0.7522
P  0.7522  0.7522  0.2781

Most intense lines, 2θ = 10–90°, by angle:
| two_theta | d_spacing | I/Imax |
| --- | --- | --- |
| 12.25 | 7.223 | 100 |
| 25.11 | 3.547 | 23 |
| 25.60 | 3.480 | 65 |
| 26.59 | 3.353 | 28 |
| 30.24 | 2.955 | 73 |
| 32.74 | 2.735 | 22 |
| 38.71 | 2.326 | 35 |
| 42.07 | 2.148 | 34 |
| 44.51 | 2.036 | 35 |
| 46.34 | 1.959 | 24 |

***

(11)
Structure and theoretical powder diffraction line list of La4PrY3S8 (a DFT-relaxed cell (GGA-PBE, Alexandria); Cu Kα, 1.54184 Å).
Kinematic intensities with the Lorentz-polarization factor, no thermal factor.

Structural model:
Lattice parameters (Å, degrees): 8.1473 8.1473 8.1473 59.62 59.62 59.62
Fractional coordinates of all 16 atoms:
La  0.0000  0.0000  0.0000
La  0.0000  0.5000  0.5000
La  0.5000  0.0000  0.5000
La  0.5000  0.5000  0.0000
Pr  0.5000  0.5000  0.5000
Y  0.0000  0.0000  0.5000
Y  0.0000  0.5000  0.0000
Y  0.5000  0.0000  0.0000
S  0.2370  0.7495  0.7495
S  0.2435  0.2435  0.2435
S  0.2505  0.2505  0.7630
S  0.2505  0.7630  0.2505
S  0.7495  0.2370  0.7495
S  0.7495  0.7495  0.2370
S  0.7565  0.7565  0.7565
S  0.7630  0.2505  0.2505

Most intense lines, 2θ = 10–90°, by angle:
| two_theta | d_spacing | I/Imax |
| --- | --- | --- |
| 26.73 | 3.336 | 16 |
| 26.94 | 3.310 | 46 |
| 31.14 | 2.872 | 100 |
| 44.48 | 2.037 | 36 |
| 44.75 | 2.025 | 36 |
| 52.89 | 1.731 | 15 |
| 55.52 | 1.655 | 18 |
| 73.57 | 1.287 | 15 |
| 73.96 | 1.282 | 15 |
| 82.31 | 1.171 | 12 |